(1)
For Sb2XeF12, a crystal structure in the Materials Project, relaxed with PBE gives the theoretical X-ray powder pattern in this record (Cu Ka).
Peak positions follow from Bragg's law for the DFT cell and can differ from measured ones.

Largest 12 diffraction maxima, sorted by position, 10° ≤ 2θ ≤ 90°:
| index | 2θ/deg | d [Å] | I/Imax |
| --- | --- | --- | --- |
| 0 1 1 | 14.3 | 6.200 | 51 |
| 1 0 1 | 18.8 | 4.730 | 95 |
| 0 2 1 | 21.4 | 4.156 | 30 |
| 1 0 -2 | 22.1 | 4.026 | 74 |
| 1 2 0 | 22.2 | 4.012 | 62 |
| 1 2 -1 | 23.2 | 3.840 | 100 |
| 0 1 2 | 23.9 | 3.719 | 30 |
| 2 0 -1 | 24.3 | 3.663 | 45 |
| 1 2 1 | 26.3 | 3.386 | 31 |
| 1 2 -2 | 28.8 | 3.098 | 30 |
| 2 2 0 | 31.1 | 2.875 | 34 |
| 2 2 2 | 42.5 | 2.126 | 29 |

Cell and atoms:
```
Sb2XeF12
1.0
7.4329 0.0000 0.0000
0.0000 9.7010 0.0000
-2.3389 0.0000 8.0602
Sb Xe F
4 2 24
Direct
0.0461 0.0000 0.1423
0.3085 0.2671 0.6963
0.6915 0.7671 0.3037
0.9539 0.5000 0.8577
0.3140 0.7677 0.7100
0.6860 0.2677 0.2900
0.0806 0.6122 0.7180
0.1284 0.3421 0.5100
0.1333 0.3472 0.8361
0.1443 0.5594 0.0444
0.1463 0.8788 0.0128
0.1621 0.1041 0.6774
0.2010 0.9311 0.3441
0.2072 0.1495 0.1384
0.4266 0.4424 0.7402
0.4601 0.2032 0.9041
0.4647 0.1991 0.5707
0.4894 0.4025 0.2998
0.5106 0.9025 0.7002
0.5353 0.6991 0.4293
0.5399 0.7032 0.0959
0.5734 0.9424 0.2598
0.7928 0.6495 0.8616
0.7990 0.4311 0.6559
0.8379 0.6041 0.3226
0.8537 0.3788 0.9872
0.8557 0.0594 0.9556
0.8667 0.8472 0.1639
0.8716 0.8421 0.4900
0.9194 0.1122 0.2820
```


(2)
For RbU2F9, a crystal structure in the Materials Project, relaxed with PBE gives the theoretical X-ray powder pattern in this record (Cu Ka).
Peak positions follow from Bragg's law for the DFT cell and can differ from measured ones.

Largest 12 diffraction maxima, sorted by position, 10° ≤ 2θ ≤ 90°:
| index | 2θ/deg | d [Å] | I/Imax |
| --- | --- | --- | --- |
| 0 2 0 | 15.1 | 5.868 | 100 |
| 1 2 1 | 22.1 | 4.021 | 37 |
| 2 0 1 | 23.8 | 3.738 | 49 |
| 2 2 0 | 25.3 | 3.519 | 47 |
| 0 3 1 | 26.0 | 3.425 | 66 |
| 1 0 2 | 27.1 | 3.289 | 71 |
| 1 3 1 | 28.0 | 3.192 | 32 |
| 2 2 1 | 28.3 | 3.153 | 49 |
| 1 2 2 | 31.2 | 2.869 | 51 |
| 4 0 1 | 43.1 | 2.100 | 33 |
| 1 3 3 | 46.0 | 1.972 | 36 |
| 3 3 2 | 46.4 | 1.957 | 56 |

Cell and atoms:
```
RbU2F9
1.0
8.7965 0.0000 0.0000
0.0000 11.7360 0.0000
0.0000 0.0000 7.0918
Rb U F
4 8 36
Direct
0.0320 0.2500 0.1335
0.4680 0.7500 0.6335
0.5320 0.2500 0.3665
0.9680 0.7500 0.8665
0.1764 0.0508 0.6491
0.1764 0.4492 0.6491
0.3236 0.5508 0.1491
0.3236 0.9492 0.1491
0.6764 0.0508 0.8509
0.6764 0.4492 0.8509
0.8236 0.5508 0.3509
0.8236 0.9492 0.3509
0.0058 0.5971 0.5690
0.0058 0.9029 0.5690
0.0664 0.5771 0.1933
0.0664 0.9229 0.1933
0.1752 0.2500 0.6605
0.2137 0.0925 0.9658
0.2137 0.4075 0.9658
0.2209 0.6047 0.8484
0.2209 0.8953 0.8484
0.2791 0.1047 0.3484
0.2791 0.3953 0.3484
0.2863 0.5925 0.4658
0.2863 0.9075 0.4658
0.3248 0.7500 0.1605
0.4336 0.0771 0.6933
0.4336 0.4229 0.6933
0.4942 0.0971 0.0690
0.4942 0.4029 0.0690
0.5058 0.5971 0.9310
0.5058 0.9029 0.9310
0.5664 0.5771 0.3067
0.5664 0.9229 0.3067
0.6752 0.2500 0.8395
0.7137 0.0925 0.5342
0.7137 0.4075 0.5342
0.7209 0.6047 0.6516
0.7209 0.8953 0.6516
0.7791 0.1047 0.1516
0.7791 0.3953 0.1516
0.7863 0.5925 0.0342
0.7863 0.9075 0.0342
0.8248 0.7500 0.3395
0.9336 0.0771 0.8067
0.9336 0.4229 0.8067
0.9942 0.0971 0.4310
0.9942 0.4029 0.4310
```